# ScCuPdRh
Theoretical powder X-ray diffraction pattern, CuKα. Input: a GGA-PBE-relaxed structure.
Neutral-atom scattering factors, no anomalous dispersion.

Structural model:
Lattice parameters (Å, degrees): 3.6544 4.0020 4.1350 90.00 90.00 90.00
Sites, in units of the cell vectors:
Sc: 0.0000 0.0000 0.0000
Cu: 0.0000 0.5000 0.5000
Pd: 0.5000 0.0000 0.5000
Rh: 0.5000 0.5000 0.0000

Principal peaks in the range 2θ = 10–80°, sorted by position:
Position (°2θ)	Rel. int.	h k l
24.36	9	1 0 0
31.10	9	0 1 1
39.89	100	1 1 1
43.79	19	0 0 2
45.32	17	0 2 0
49.91	13	2 0 0
50.73	3	1 0 2
59.98	3	2 1 1
64.84	11	0 2 2
68.54	9	2 0 2
69.69	9	2 2 0
77.81	13	1 1 3